For Mg6BMo, a structure optimized by DFT (GGA-PBE) gives the theoretical X-ray powder pattern in this record (Cu Ka).

Principal peaks in the range 10° ≤ 2θ ≤ 90°, sorted by position:
2theta, d_spacing, I/Imax
17.9, 4.969, 76
25.9, 3.435, 63
36.2, 2.484, 44
37.8, 2.378, 49
38.4, 2.344, 85
41.0, 2.202, 100

Structure:
Lattice parameters (Å, degrees): 4.7550 6.0732 6.0732 54.90 90.00 90.00
Fractional positions:
Mg 0.0000 0.0000 0.0000
Mg 0.0000 0.0028 0.5136
Mg 0.0000 0.4871 0.4871
Mg 0.0000 0.5136 0.0028
Mg 0.5000 0.3526 0.8544
Mg 0.5000 0.8544 0.3526
B 0.5000 0.3422 0.3422
Mo 0.5000 0.8554 0.8554